Starting from the GGA-PBE geometry in the Materials Project, the XRD peak list of NaSiBO4 was calculated for Cu Kα (weighted mean of Kα1 and Kα2).

Principal peaks in the range 5° ≤ 2θ ≤ 70°, sorted by position:
2θ 22.84, intensity 34, hkl 0 0 2
2θ 24.69, intensity 90, hkl 1 1 1
2θ 31.82, intensity 100, hkl 1 1 2
2θ 38.33, intensity 38, hkl 3 0 0
2θ 40.11, intensity 40, hkl 3 0 1
2θ 43.30, intensity 19, hkl 2 0 3
2θ 65.25, intensity 21, hkl 1 4 2
2θ 69.31, intensity 17, hkl 3 3 0

Structure:
```
NaSiBO4
1.0
8.1348 0.0000 0.0000
-4.0674 7.0449 0.0000
0.0000 0.0000 7.7864
Na Si B O
6 6 6 24
Direct
0.0000 0.0000 0.0000
0.0000 0.0000 0.5000
0.3333 0.6667 0.0372
0.3333 0.6667 0.4697
0.6667 0.3333 0.5372
0.6667 0.3333 0.9697
0.0216 0.6822 0.7812
0.3178 0.3394 0.7812
0.3394 0.0216 0.2812
0.6606 0.9784 0.7812
0.6822 0.6606 0.2812
0.9784 0.3178 0.2812
0.0179 0.6798 0.1611
0.3202 0.3381 0.1611
0.3381 0.0179 0.6611
0.6619 0.9821 0.1611
0.6798 0.6619 0.6611
0.9821 0.3202 0.6611
0.0714 0.5435 0.2353
0.0909 0.7231 0.9814
0.1143 0.8601 0.2583
0.1399 0.2542 0.2583
0.1895 0.3986 0.6614
0.2091 0.8105 0.6614
0.2542 0.1143 0.7583
0.2769 0.3678 0.9814
0.3678 0.0909 0.4814
0.3986 0.2091 0.1614
0.4565 0.5279 0.2353
0.4721 0.9286 0.2353
0.5279 0.0714 0.7353
0.5435 0.4721 0.7353
0.6014 0.7909 0.6614
0.6322 0.9091 0.9814
0.7231 0.6322 0.4814
0.7458 0.8857 0.2583
0.7909 0.1895 0.1614
0.8105 0.6014 0.1614
0.8601 0.7458 0.7583
0.8857 0.1399 0.7583
0.9091 0.2769 0.4814
0.9286 0.4565 0.7353
```


Starting from the GGA-PBE geometry in the Materials Project, the XRD peak list of Na3SiSnBO7 was calculated for Cu Kα (weighted mean of Kα1 and Kα2).

Principal peaks in the range 5° ≤ 2θ ≤ 70°, sorted by position:
2θ 9.71, intensity 100, hkl 0 0 1
2θ 16.32, intensity 100, hkl 0 1 1
2θ 19.47, intensity 64, hkl 1 0 1
2θ 25.20, intensity 46, hkl 1 0 -2
2θ 26.36, intensity 77, hkl 0 2 0
2θ 32.63, intensity 46, hkl 1 2 -1
2θ 32.98, intensity 60, hkl 1 2 1
2θ 33.37, intensity 74, hkl 2 0 0

Structure:
```
Na3SiSnBO7
1.0
5.3744 0.0000 0.0000
0.0000 6.7617 0.0000
-0.3083 0.0000 9.1122
Na Si Sn B O
6 2 2 2 14
Direct
0.2389 0.2500 0.0808
0.2545 0.5063 0.7525
0.2545 0.9937 0.7525
0.7455 0.0063 0.2475
0.7455 0.4937 0.2475
0.7611 0.7500 0.9192
0.2807 0.2500 0.4255
0.7193 0.7500 0.5745
0.2166 0.7500 0.3402
0.7834 0.2500 0.6598
0.2753 0.7500 0.0616
0.7247 0.2500 0.9384
0.0389 0.7500 0.1249
0.1379 0.2500 0.5815
0.2061 0.0590 0.3214
0.2061 0.4410 0.3214
0.3156 0.7500 0.9172
0.4141 0.7500 0.5376
0.4720 0.7500 0.1709
0.5280 0.2500 0.8291
0.5859 0.2500 0.4624
0.6844 0.2500 0.0828
0.7939 0.5590 0.6786
0.7939 0.9410 0.6786
0.8621 0.7500 0.4185
0.9611 0.2500 0.8751
```


Starting from the GGA-PBE geometry in the Materials Project, the XRD peak list of Na3Sm9B8O27 was calculated for Cu Kα (weighted mean of Kα1 and Kα2).

Principal peaks in the range 5° ≤ 2θ ≤ 70°, sorted by position:
2θ 20.29, intensity 42, hkl 1 1 0
2θ 22.90, intensity 26, hkl 1 1 1
2θ 29.45, intensity 100, hkl 1 1 2
2θ 35.53, intensity 40, hkl 3 0 0
2θ 41.25, intensity 18, hkl 2 2 0
2θ 46.79, intensity 41, hkl 2 2 2
2θ 56.97, intensity 20, hkl 3 0 4
2θ 60.10, intensity 20, hkl 4 1 2

Structure:
```
Na3Sm9B8O27
1.0
8.7538 0.0000 0.0000
-4.3769 7.5810 0.0000
0.0000 0.0000 8.4114
Na Sm B O
3 9 8 27
Direct
0.0000 0.3362 0.0000
0.3362 0.0000 0.0000
0.6638 0.6638 0.0000
0.0000 0.2819 0.5000
0.0000 0.6515 0.2355
0.0000 0.6515 0.7645
0.2819 0.0000 0.5000
0.3485 0.3485 0.2355
0.3485 0.3485 0.7645
0.6515 0.0000 0.2355
0.6515 0.0000 0.7645
0.7181 0.7181 0.5000
0.0000 0.0000 0.2100
0.0000 0.0000 0.7900
0.3333 0.6667 0.0000
0.3333 0.6667 0.3245
0.3333 0.6667 0.6755
0.6667 0.3333 0.0000
0.6667 0.3333 0.3245
0.6667 0.3333 0.6755
0.0000 0.1584 0.2127
0.0000 0.1584 0.7873
0.0000 0.7436 0.5000
0.1584 0.0000 0.2127
0.1584 0.0000 0.7873
0.1762 0.5105 0.3176
0.1762 0.5105 0.6824
0.1792 0.6775 0.0000
0.2564 0.2564 0.5000
0.3225 0.5017 0.0000
0.3343 0.8238 0.3176
0.3343 0.8238 0.6824
0.4895 0.6657 0.3176
0.4895 0.6657 0.6824
0.4983 0.8208 0.0000
0.5017 0.3225 0.0000
0.5105 0.1762 0.3176
0.5105 0.1762 0.6824
0.6657 0.4895 0.3176
0.6657 0.4895 0.6824
0.6775 0.1792 0.0000
0.7436 0.0000 0.5000
0.8208 0.4983 0.0000
0.8238 0.3343 0.3176
0.8238 0.3343 0.6824
0.8416 0.8416 0.2127
0.8416 0.8416 0.7873
```